Simulated powder X-ray diffraction pattern
Compound: Cs2Hg3I8
Radiation: Cu Kα (λ = 1.5418 Å)
Structure: a crystal structure in the Materials Project, relaxed with PBE

Largest 10 diffraction maxima, low angle first, 10° ≤ 2θ ≤ 90°:
7.689 Å, rel. 26; 6.865 Å, rel. 33; 3.847 Å, rel. 43; 3.707 Å, rel. 100; 3.599 Å, rel. 27; 2.323 Å, rel. 32; 2.291 Å, rel. 18; 2.283 Å, rel. 18; 2.212 Å, rel. 21; 2.126 Å, rel. 21

Structural model:
```
Cs2Hg3I8
1.0
3.793 -11.413 0.000
3.793 11.413 0.000
-2.562 0.000 7.689
Cs Hg I
2 3 8
Direct
0.129 0.871 0.000
0.871 0.129 0.000
0.158 0.546 0.627
0.232 0.232 0.548
0.546 0.158 0.627
0.141 0.752 0.494
0.303 0.692 0.987
0.319 0.319 0.904
0.350 0.546 0.447
0.546 0.350 0.447
0.692 0.303 0.987
0.752 0.141 0.494
0.894 0.894 0.287
```



Simulated powder X-ray diffraction pattern
Compound: Cs2InHgI6
Radiation: Cu Kα (λ = 1.5418 Å)
Structure: a crystal structure in the Materials Project, relaxed with PBE

Largest 10 diffraction maxima, low angle first, 10° ≤ 2θ ≤ 90°:
6.119 Å, rel. 28; 4.327 Å, rel. 28; 3.533 Å, rel. 54; 3.060 Å, rel. 100; 2.737 Å, rel. 16; 2.164 Å, rel. 75; 1.845 Å, rel. 24; 1.767 Å, rel. 26; 1.368 Å, rel. 34; 1.249 Å, rel. 25

Structural model:
```
Cs2InHgI6
1.0
0.000 6.119 6.119
6.119 0.000 6.119
6.119 6.119 0.000
Cs In Hg I
2 1 1 6
Direct
0.250 0.250 0.250
0.750 0.750 0.750
0.000 0.000 0.000
0.500 0.500 0.500
0.246 0.246 0.754
0.246 0.754 0.246
0.246 0.754 0.754
0.754 0.246 0.246
0.754 0.246 0.754
0.754 0.754 0.246
```



Simulated powder X-ray diffraction pattern
Compound: Cs2Hg3I8O
Radiation: Cu Kα (λ = 1.5418 Å)
Structure: a crystal structure in the Materials Project, relaxed with PBE

Largest 10 diffraction maxima, low angle first, 10° ≤ 2θ ≤ 90°:
7.559 Å, rel. 26; 6.843 Å, rel. 25; 6.055 Å, rel. 16; 3.780 Å, rel. 33; 3.660 Å, rel. 100; 3.590 Å, rel. 42; 2.939 Å, rel. 18; 2.285 Å, rel. 35; 2.250 Å, rel. 21; 2.200 Å, rel. 26

Structural model:
```
Cs2Hg3I8O
1.0
3.783 -11.255 0.000
3.783 11.255 0.000
-2.503 0.000 7.559
Cs Hg I O
2 3 8 1
Direct
0.122 0.878 0.000
0.878 0.122 0.000
0.444 0.832 0.366
0.745 0.745 0.439
0.832 0.444 0.366
0.104 0.104 0.671
0.232 0.845 0.501
0.297 0.688 0.001
0.445 0.640 0.550
0.631 0.631 0.073
0.640 0.445 0.550
0.688 0.297 0.001
0.845 0.232 0.501
0.188 0.188 0.197
```